(1)
The following is a theoretical X-ray diffraction stick pattern of Dy2ErCuS5. It was derived from a cell relaxed with PBE, using CuKα.

Principal peaks in the range 2θ from 15° to 90°, sorted by position:
| 2θ (°) | I/Imax |
| --- | --- |
| 21.40 | 23 |
| 23.92 | 23 |
| 25.76 | 72 |
| 28.40 | 33 |
| 28.64 | 23 |
| 29.48 | 29 |
| 33.31 | 44 |
| 33.70 | 100 |
| 39.27 | 76 |
| 47.65 | 27 |

a = 3.8173 Å, b = 16.6082 Å, c = 11.4117 Å
α = 90.00°, β = 90.00°, γ = 90.00°
Space group Cmc2_1 (No. 36)
Unique sites:
Dy: 0.0000 0.1068 0.0000 x4
Dy: 0.0000 0.1209 0.6229 x4
Er: 0.0000 0.1947 0.3254 x4
Cu: 0.0000 0.4419 0.7713 x4
S: 0.0000 0.0424 0.3800 x4
S: 0.0000 0.2889 0.9920 x4
S: 0.0000 0.3163 0.6600 x4
S: 0.0000 0.3580 0.3167 x4
S: 0.0000 0.4976 0.0940 x4

=====

(2)
The following is a theoretical X-ray diffraction stick pattern of MnTl4Br6. It was derived from a cell relaxed with PBE, using CuKα.

Principal peaks in the range 2θ from 15° to 90°, sorted by position:
| 2θ (°) | I/Imax |
| --- | --- |
| 18.71 | 17 |
| 22.46 | 22 |
| 29.39 | 100 |
| 31.97 | 34 |
| 37.30 | 14 |
| 37.94 | 17 |
| 46.43 | 13 |
| 50.44 | 17 |
| 59.52 | 11 |
| 63.35 | 11 |

a = 8.8512 Å, b = 8.8512 Å, c = 9.4852 Å
α = 90.00°, β = 90.00°, γ = 90.00°
Space group P4/mnc (No. 128)
Unique sites:
Mn: 0.0000 0.0000 0.0000 x2
Tl: 0.1555 0.3445 0.2500 x8
Br: 0.0000 0.0000 0.2779 x4
Br: 0.1260 0.7118 0.0000 x8

=====

(3)
The following is a theoretical X-ray diffraction stick pattern of Sm5YAu6. It was derived from a cell relaxed with PBE, using CuKα.

Principal peaks in the range 2θ from 15° to 90°, sorted by position:
| 2θ (°) | I/Imax |
| --- | --- |
| 34.46 | 51 |
| 34.70 | 100 |
| 49.52 | 18 |
| 50.23 | 9 |
| 61.82 | 19 |
| 61.94 | 19 |
| 62.34 | 18 |
| 73.22 | 12 |
| 83.08 | 8 |
| 84.17 | 8 |

a = 5.1989 Å, b = 7.2648 Å, c = 15.6386 Å
α = 90.00°, β = 90.00°, γ = 90.00°
Space group Immm (No. 71)
Unique sites:
Sm: 0.0000 0.0000 0.0000 x2
Sm: 0.0000 0.0000 0.3324 x4
Sm: 0.0000 0.5000 0.3340 x4
Y: 0.0000 0.5000 0.0000 x2
Au: 0.0000 0.2423 0.5000 x4
Au: 0.0000 0.2539 0.1640 x8

=====

(4)
The following is a theoretical X-ray diffraction stick pattern of NbTe2S6. It was derived from a cell relaxed with PBE, using CuKα.

Principal peaks in the range 2θ from 15° to 90°, sorted by position:
| 2θ (°) | I/Imax |
| --- | --- |
| 15.52 | 100 |
| 21.24 | 24 |
| 21.70 | 41 |
| 24.00 | 20 |
| 27.16 | 24 |
| 29.57 | 29 |
| 31.04 | 28 |
| 31.27 | 19 |
| 41.88 | 18 |
| 49.61 | 18 |

a = 12.8684 Å, b = 13.1328 Å, c = 6.3516 Å
α = 90.00°, β = 115.71°, γ = 90.00°
Space group C2/c (No. 15)
Unique sites:
Nb: 0.0000 0.0453 0.2500 x4
Te: 0.1527 0.3632 0.4628 x8
S: 0.0619 0.3656 0.0503 x8
S: 0.1162 0.0736 0.0387 x8
S: 0.1510 0.1779 0.5553 x8

=====

(5)
The following is a theoretical X-ray diffraction stick pattern of NaAcNF. It was derived from a cell relaxed with PBE, using CuKα.

Principal peaks in the range 2θ from 15° to 90°, sorted by position:
| 2θ (°) | I/Imax |
| --- | --- |
| 27.03 | 87 |
| 28.41 | 89 |
| 30.08 | 26 |
| 33.42 | 100 |
| 36.77 | 41 |
| 44.66 | 26 |
| 46.87 | 40 |
| 49.07 | 30 |
| 49.46 | 36 |
| 56.70 | 29 |

a = 3.8766 Å, b = 3.8766 Å, c = 17.8261 Å
α = 90.00°, β = 90.00°, γ = 120.00°
Space group R3m (No. 160, hexagonal axes)
Unique sites:
Na: 0.0000 0.0000 0.0000 x3
Ac: 0.0000 0.0000 0.5184 x3
N: 0.0000 0.0000 0.2439 x3
F: 0.0000 0.0000 0.7560 x3

=====

(6)
The following is a theoretical X-ray diffraction stick pattern of Dy2Pu3ScS6. It was derived from a cell relaxed with PBE, using CuKα.

Principal peaks in the range 2θ from 15° to 90°, sorted by position:
| 2θ (°) | I/Imax |
| --- | --- |
| 27.84 | 23 |
| 28.12 | 67 |
| 32.50 | 100 |
| 46.41 | 12 |
| 46.46 | 24 |
| 46.81 | 36 |
| 55.02 | 11 |
| 55.34 | 22 |
| 58.14 | 19 |
| 77.74 | 16 |

a = 17.0180 Å, b = 3.8812 Å, c = 7.8259 Å
α = 90.00°, β = 103.86°, γ = 90.00°
Space group C2/m (No. 12)
Unique sites:
Dy: 0.1654 0.0000 0.3317 x4
Pu: 0.0000 0.5000 0.5000 x2
Pu: 0.1678 0.0000 0.8343 x4
Sc: 0.0000 0.5000 0.0000 x2
S: 0.9996 0.0000 0.2369 x4
S: 0.1614 0.5000 0.0826 x4
S: 0.1677 0.5000 0.5814 x4